[1]
Starting from the GGA+U geometry in Alexandria, the powder X-ray diffraction pattern of Ba2Mg2Tl2Cr3O10 was computed for copper Kα.
No peak broadening, texture or thermal motion is included.

Most intense lines, 5 to 70 degrees two-theta, in order of rising 2θ:
Position (°2θ), Rel. int.
26.7, 24
28.9, 50
29.3, 100
29.5, 53
31.4, 32
32.7, 88
33.0, 27
33.1, 34
47.1, 28
56.6, 28

Cell and atoms:
abc: 3.8618 3.8740 19.9194
angles: 88.68 89.89 89.92
Space group P1 (No. 1)
Asymmetric unit:
Ba: 0.0000 0.0000 0.0000 x1
Ba: 0.4947 0.5489 0.3888 x1
Mg: 0.0017 0.0164 0.8182 x1
Mg: 0.4932 0.5319 0.5706 x1
Tl: 0.4977 0.5386 0.1415 x1
Tl: 0.9962 0.0085 0.2475 x1
Cr: 0.5012 0.5093 0.8793 x1
Cr: 0.5107 0.0083 0.6942 x1
Cr: 0.9937 0.0386 0.5096 x1
O: 0.0014 0.5110 0.8580 x1
O: 0.4935 0.0364 0.5348 x1
O: 0.4951 0.3774 0.2622 x1
O: 0.4966 0.5265 0.6702 x1
O: 0.5004 0.4977 0.9756 x1
O: 0.5012 0.0121 0.8546 x1
O: 0.9938 0.5361 0.5304 x1
O: 0.9946 0.0504 0.4133 x1
O: 0.9975 0.0222 0.7185 x1
O: 0.9988 0.1694 0.1268 x1

=====

[2]
Starting from the GGA+U geometry in Alexandria, the powder X-ray diffraction pattern of BaMn3Cr4O12 was computed for copper Kα.
No peak broadening, texture or thermal motion is included.

Most intense lines, 5 to 70 degrees two-theta, in order of rising 2θ:
Position (°2θ), Rel. int.
16.6, 10
23.5, 2
28.9, 5
33.5, 100
37.6, 13
41.3, 5
44.8, 11
48.1, 26
59.9, 48
62.6, 4

Cell and atoms:
abc: 7.5642 7.5642 7.5642
angles: 90.00 90.00 90.00
Space group Im-3 (No. 204)
Asymmetric unit:
Ba: 0.0000 0.0000 0.0000 x2
Mn: 0.0000 0.0000 0.5000 x6
Cr: 0.2500 0.2500 0.2500 x8
O: 0.0000 0.3158 0.1821 x24